Record 1
# TmHgAs
Calculated powder diffraction line list, Cu Kα, 1.54184 Å. Input: a structure optimized by DFT (PBE).
Kinematic intensities with the Lorentz-polarization factor, no thermal factor.

Most intense lines, 10° ≤ 2θ ≤ 90°, by intensity:
two_theta, d/Å, intensity
37.1, 2.420, 100
22.5, 3.952, 51
67.0, 1.397, 36
43.9, 2.064, 28
53.5, 1.711, 18
58.8, 1.571, 12
79.1, 1.210, 11
83.6, 1.157, 9
71.6, 1.317, 9
26.0, 3.423, 8

Atomic structure:
a b c (Å): 6.8457 6.8457 6.8457
angles (deg): 90.00 90.00 90.00
Atoms (fractional coordinates):
Tm  0.0000  0.0000  0.0000
Tm  0.0000  0.5000  0.5000
Tm  0.5000  0.0000  0.5000
Tm  0.5000  0.5000  0.0000
Hg  0.2500  0.2500  0.2500
Hg  0.2500  0.7500  0.7500
Hg  0.7500  0.2500  0.7500
Hg  0.7500  0.7500  0.2500
As  0.2500  0.2500  0.7500
As  0.2500  0.7500  0.2500
As  0.7500  0.2500  0.2500
As  0.7500  0.7500  0.7500


Record 2
# HgAsW4
Calculated powder diffraction line list, Cu Kα, 1.54184 Å. Input: a structure optimized by DFT (PBE).
Kinematic intensities with the Lorentz-polarization factor, no thermal factor.

Most intense lines, 10° ≤ 2θ ≤ 90°, by intensity:
two_theta, d/Å, intensity
31.4, 2.852, 100
56.3, 1.635, 94
38.5, 2.337, 60
23.3, 3.814, 55
37.5, 2.398, 53
42.4, 2.134, 41
83.1, 1.162, 39
54.9, 1.674, 36
24.7, 3.600, 34
30.2, 2.955, 32

Atomic structure:
a b c (Å): 7.2002 7.6290 4.6749
angles (deg): 90.00 90.00 90.00
Atoms (fractional coordinates):
Hg  0.0000  0.0000  0.0000
Hg  0.5000  0.5000  0.0000
As  0.0000  0.5000  0.5000
As  0.5000  0.0000  0.5000
W  0.0000  0.3446  0.0000
W  0.0000  0.6554  0.0000
W  0.1747  0.0000  0.5000
W  0.3253  0.5000  0.5000
W  0.5000  0.1554  0.0000
W  0.5000  0.8446  0.0000
W  0.6747  0.5000  0.5000
W  0.8253  0.0000  0.5000


Record 3
# HgAsW
Calculated powder diffraction line list, Cu Kα, 1.54184 Å. Input: a structure optimized by DFT (PBE).
Kinematic intensities with the Lorentz-polarization factor, no thermal factor.

Most intense lines, 10° ≤ 2θ ≤ 90°, by intensity:
two_theta, d/Å, intensity
40.3, 2.236, 100
24.4, 3.652, 55
73.3, 1.291, 35
47.7, 1.907, 29
58.4, 1.581, 17
64.2, 1.451, 12
87.2, 1.118, 12
78.6, 1.217, 9
28.2, 3.163, 6
66.1, 1.414, 2

Atomic structure:
a b c (Å): 6.3257 6.3257 6.3257
angles (deg): 90.00 90.00 90.00
Atoms (fractional coordinates):
Hg  0.0000  0.0000  0.0000
Hg  0.0000  0.5000  0.5000
Hg  0.5000  0.0000  0.5000
Hg  0.5000  0.5000  0.0000
As  0.0000  0.0000  0.5000
As  0.0000  0.5000  0.0000
As  0.5000  0.0000  0.0000
As  0.5000  0.5000  0.5000
W  0.2500  0.2500  0.7500
W  0.2500  0.7500  0.2500
W  0.7500  0.2500  0.2500
W  0.7500  0.7500  0.7500


Record 4
# Ho3In2As4
Calculated powder diffraction line list, Cu Kα, 1.54184 Å. Input: a structure optimized by DFT (PBE).
Kinematic intensities with the Lorentz-polarization factor, no thermal factor.

Most intense lines, 10° ≤ 2θ ≤ 90°, by intensity:
two_theta, d/Å, intensity
33.2, 2.700, 100
39.9, 2.260, 31
43.7, 2.070, 22
45.0, 2.015, 20
29.5, 3.029, 18
31.2, 2.867, 17
28.0, 3.191, 15
38.2, 2.357, 14
50.9, 1.794, 13
26.6, 3.356, 11

Atomic structure:
a b c (Å): 6.0575 17.8121 4.1394
angles (deg): 90.00 90.00 90.00
Atoms (fractional coordinates):
Ho  0.0000  0.0000  0.0000
Ho  0.2250  0.3009  0.5000
Ho  0.2750  0.8009  0.0000
Ho  0.5000  0.5000  0.5000
Ho  0.7250  0.1991  0.0000
Ho  0.7750  0.6991  0.5000
In  0.1616  0.5867  0.0000
In  0.3384  0.0867  0.5000
In  0.6616  0.9133  0.5000
In  0.8384  0.4133  0.0000
As  0.2159  0.9095  0.5000
As  0.2227  0.1854  0.0000
As  0.2773  0.6854  0.5000
As  0.2841  0.4095  0.0000
As  0.7159  0.5905  0.0000
As  0.7227  0.3146  0.5000
As  0.7773  0.8146  0.0000
As  0.7841  0.0905  0.5000


Record 5
# KHoAsO
Calculated powder diffraction line list, Cu Kα, 1.54184 Å. Input: a structure optimized by DFT (PBE).
Kinematic intensities with the Lorentz-polarization factor, no thermal factor.

Most intense lines, 10° ≤ 2θ ≤ 90°, by intensity:
two_theta, d/Å, intensity
19.7, 4.503, 100
26.9, 3.312, 93
35.4, 2.539, 50
29.9, 2.988, 48
44.3, 2.045, 42
31.9, 2.805, 38
36.8, 2.444, 36
42.1, 2.148, 29
46.5, 1.955, 27
22.3, 3.979, 27

Atomic structure:
a b c (Å): 4.8875 6.8496 5.9752
angles (deg): 90.00 90.00 90.00
Atoms (fractional coordinates):
K  0.0000  0.1313  0.0000
K  0.0000  0.8687  0.5000
Ho  0.5000  0.2157  0.4969
Ho  0.5000  0.7843  0.9969
As  0.0000  0.4327  0.4679
As  0.0000  0.5673  0.9679
O  0.5000  0.0049  0.7524
O  0.5000  0.9951  0.2524


Record 6
# K2Ho2AsP
Calculated powder diffraction line list, Cu Kα, 1.54184 Å. Input: a structure optimized by DFT (PBE).
Kinematic intensities with the Lorentz-polarization factor, no thermal factor.

Most intense lines, 10° ≤ 2θ ≤ 90°, by intensity:
two_theta, d/Å, intensity
11.3, 7.860, 100
28.1, 3.179, 62
34.4, 2.604, 47
36.6, 2.458, 34
43.2, 2.092, 23
38.4, 2.346, 22
64.4, 1.446, 15
22.6, 3.930, 14
53.6, 1.711, 14
60.7, 1.525, 14

Atomic structure:
a b c (Å): 4.9166 4.9166 7.8600
angles (deg): 90.00 90.00 90.00
Atoms (fractional coordinates):
K  0.0000  0.0000  0.0000
K  0.5000  0.5000  0.2392
Ho  0.0000  0.5000  0.6130
Ho  0.5000  0.0000  0.6130
As  0.5000  0.5000  0.8065
P  0.0000  0.0000  0.4425


Record 7
# KHoAsSe3
Calculated powder diffraction line list, Cu Kα, 1.54184 Å. Input: a structure optimized by DFT (PBE).
Kinematic intensities with the Lorentz-polarization factor, no thermal factor.

Most intense lines, 10° ≤ 2θ ≤ 90°, by intensity:
two_theta, d/Å, intensity
11.7, 7.585, 100
27.0, 3.303, 80
41.6, 2.170, 48
31.1, 2.878, 47
36.1, 2.491, 39
48.3, 1.883, 32
41.4, 2.181, 22
52.7, 1.738, 21
33.3, 2.692, 20
31.2, 2.865, 17

Atomic structure:
a b c (Å): 7.8926 7.8926 11.5124
angles (deg): 90.00 90.00 147.92
Atoms (fractional coordinates):
K  0.2170  0.7830  0.7500
K  0.7830  0.2170  0.2500
Ho  0.5000  0.5000  0.0000
Ho  0.5000  0.5000  0.5000
As  0.0939  0.9061  0.2500
As  0.9061  0.0939  0.7500
Se  0.1238  0.8762  0.0151
Se  0.1238  0.8762  0.4849
Se  0.4920  0.5080  0.7500
Se  0.5080  0.4920  0.2500
Se  0.8762  0.1238  0.5151
Se  0.8762  0.1238  0.9849


Record 8
# LaHoZn2As2O2
Calculated powder diffraction line list, Cu Kα, 1.54184 Å. Input: a structure optimized by DFT (PBE).
Kinematic intensities with the Lorentz-polarization factor, no thermal factor.

Most intense lines, 10° ≤ 2θ ≤ 90°, by intensity:
two_theta, d/Å, intensity
29.9, 2.990, 100
37.5, 2.397, 40
55.1, 1.666, 37
45.2, 2.006, 34
52.0, 1.759, 30
33.1, 2.705, 26
31.5, 2.837, 18
88.6, 1.104, 13
65.8, 1.419, 11
78.3, 1.221, 11

Atomic structure:
a b c (Å): 4.0127 4.0127 8.9650
angles (deg): 90.00 90.00 90.00
Atoms (fractional coordinates):
La  0.0000  0.0000  0.0000
Ho  0.5000  0.5000  0.2558
Zn  0.0000  0.5000  0.6323
Zn  0.5000  0.0000  0.6323
As  0.0000  0.0000  0.4545
As  0.5000  0.5000  0.8117
O  0.0000  0.5000  0.1427
O  0.5000  0.0000  0.1427


Record 9
# LaHoAs2Pt2
Calculated powder diffraction line list, Cu Kα, 1.54184 Å. Input: a structure optimized by DFT (PBE).
Kinematic intensities with the Lorentz-polarization factor, no thermal factor.

Most intense lines, 10° ≤ 2θ ≤ 90°, by intensity:
two_theta, d/Å, intensity
33.0, 2.715, 100
41.6, 2.169, 59
64.0, 1.456, 29
54.1, 1.695, 25
70.5, 1.335, 24
29.3, 3.053, 13
46.2, 1.963, 13
24.4, 3.654, 10
76.0, 1.253, 10
77.2, 1.236, 7

Atomic structure:
a b c (Å): 4.3389 4.3389 15.7057
angles (deg): 90.00 90.00 120.00
Atoms (fractional coordinates):
La  0.0000  0.0000  0.2500
La  0.0000  0.0000  0.7500
Ho  0.0000  0.0000  0.0000
Ho  0.0000  0.0000  0.5000
As  0.3333  0.6667  0.1218
As  0.3333  0.6667  0.3782
As  0.6667  0.3333  0.6218
As  0.6667  0.3333  0.8782
Pt  0.3333  0.6667  0.6144
Pt  0.3333  0.6667  0.8856
Pt  0.6667  0.3333  0.1144
Pt  0.6667  0.3333  0.3856


Record 10
# HoLuAsO
Calculated powder diffraction line list, Cu Kα, 1.54184 Å. Input: a structure optimized by DFT (PBE).
Kinematic intensities with the Lorentz-polarization factor, no thermal factor.

Most intense lines, 10° ≤ 2θ ≤ 90°, by intensity:
two_theta, d/Å, intensity
29.4, 3.036, 100
24.9, 3.581, 84
31.3, 2.861, 81
38.8, 2.318, 51
53.3, 1.720, 43
42.0, 2.150, 39
40.3, 2.235, 38
44.6, 2.030, 37
36.0, 2.497, 35
23.4, 3.803, 34

Atomic structure:
a b c (Å): 4.0593 7.6065 5.7226
angles (deg): 90.00 90.00 90.00
Atoms (fractional coordinates):
Ho  0.0000  0.1180  0.0000
Ho  0.0000  0.8820  0.5000
Lu  0.5000  0.2828  0.4389
Lu  0.5000  0.7172  0.9389
As  0.5000  0.3521  0.9279
As  0.5000  0.6479  0.4279
O  0.0000  0.1746  0.3838
O  0.0000  0.8254  0.8838


Record 11
# HoAsN2O
Calculated powder diffraction line list, Cu Kα, 1.54184 Å. Input: a structure optimized by DFT (PBE).
Kinematic intensities with the Lorentz-polarization factor, no thermal factor.

Most intense lines, 10° ≤ 2θ ≤ 90°, by intensity:
two_theta, d/Å, intensity
33.4, 2.685, 100
35.1, 2.555, 35
32.0, 2.794, 28
29.2, 3.061, 18
31.1, 2.872, 18
54.2, 1.692, 17
22.2, 4.006, 16
64.4, 1.448, 16
43.9, 2.064, 16
50.5, 1.809, 15

Atomic structure:
a b c (Å): 7.2342 5.7442 5.5888
angles (deg): 90.00 90.00 90.00
Atoms (fractional coordinates):
Ho  0.0000  0.1806  0.0000
Ho  0.0000  0.8194  0.5000
Ho  0.5000  0.1931  0.9001
Ho  0.5000  0.8069  0.4001
As  0.2473  0.3351  0.4423
As  0.2473  0.6649  0.9423
As  0.7527  0.3351  0.4423
As  0.7527  0.6649  0.9423
N  0.0000  0.1974  0.4173
N  0.0000  0.8026  0.9173
N  0.2077  0.3943  0.7798
N  0.2077  0.6057  0.2798
N  0.5000  0.3657  0.5335
N  0.5000  0.6343  0.0335
N  0.7923  0.3943  0.7798
N  0.7923  0.6057  0.2798
O  0.2986  0.1034  0.2082
O  0.2986  0.8966  0.7082
O  0.7014  0.1034  0.2082
O  0.7014  0.8966  0.7082


Record 12
# NdHoAs2Pt2
Calculated powder diffraction line list, Cu Kα, 1.54184 Å. Input: a structure optimized by DFT (PBE).
Kinematic intensities with the Lorentz-polarization factor, no thermal factor.

Most intense lines, 10° ≤ 2θ ≤ 90°, by intensity:
two_theta, d/Å, intensity
33.3, 2.693, 100
41.8, 2.160, 62
54.5, 1.685, 25
64.6, 1.443, 23
71.0, 1.328, 22
24.5, 3.636, 19
37.7, 2.388, 14
76.4, 1.247, 11
46.8, 1.940, 10
11.4, 7.759, 5

Atomic structure:
a b c (Å): 4.3190 4.3190 15.5175
angles (deg): 90.00 90.00 120.00
Atoms (fractional coordinates):
Nd  0.0000  0.0000  0.0000
Nd  0.0000  0.0000  0.5000
Ho  0.0000  0.0000  0.2500
Ho  0.0000  0.0000  0.7500
As  0.3333  0.6667  0.1196
As  0.3333  0.6667  0.3804
As  0.6667  0.3333  0.6196
As  0.6667  0.3333  0.8804
Pt  0.3333  0.6667  0.6426
Pt  0.3333  0.6667  0.8574
Pt  0.6667  0.3333  0.1426
Pt  0.6667  0.3333  0.3574